Theoretical PXRD pattern of Li4Cd4In3 for λ = 1.5418 Å (Cu Kα), from a crystal structure in Alexandria, relaxed with GGA-PBE.
Neutral-atom scattering factors, no anomalous dispersion.

Top 6 peaks for 2θ = 5–70°, low angle first:
2θ = 21.02°, intensity 100
2θ = 22.19°, intensity 43
2θ = 28.50°, intensity 42
2θ = 36.45°, intensity 64
2θ = 36.56°, intensity 64
2θ = 39.14°, intensity 76

Cell and atoms:
```
11
Lattice="3.169 0.000 0.000 -0.053 4.602 0.000 -0.667 -2.252 16.022" Properties=species:S:1:pos:R:3 pbc="T T T"
Li 0.010 -0.003 1.424
Li 1.203 2.323 6.057
Li 1.246 0.027 9.965
Li 2.439 2.353 14.598
Cd -0.352 2.326 8.804
Cd 1.401 2.311 2.949
Cd 1.048 0.039 13.073
Cd 2.801 0.024 7.218
In -0.434 2.332 11.682
In 1.558 2.301 0.000
In 2.884 0.018 4.340
```


Theoretical PXRD pattern of NdF3 for λ = 1.5418 Å (Cu Kα), from a crystal structure in Alexandria, relaxed with GGA-PBE.
Neutral-atom scattering factors, no anomalous dispersion.

Top 6 peaks for 2θ = 5–70°, low angle first:
2θ = 24.49°, intensity 37
2θ = 25.14°, intensity 26
2θ = 28.02°, intensity 100
2θ = 44.29°, intensity 42
2θ = 45.35°, intensity 53
2θ = 51.26°, intensity 33

Cell and atoms:
```
24
Lattice="7.084 0.000 0.000 -3.542 6.135 0.000 0.000 0.000 7.269" Properties=species:S:1:pos:R:3 pbc="T T T"
Nd -1.220 2.113 1.817
Nd -2.322 4.022 5.452
Nd 2.440 0.000 1.817
Nd 1.220 2.113 5.452
Nd 4.644 0.000 5.452
Nd 2.322 4.022 1.817
F 0.000 0.000 1.817
F 0.000 0.000 5.452
F -0.865 2.286 4.217
F -1.995 4.243 0.583
F 0.865 2.286 0.583
F -1.130 5.741 4.217
F 0.000 4.090 2.309
F 0.000 4.090 5.944
F 2.412 0.394 6.686
F 1.547 1.892 3.052
F 1.995 4.243 4.217
F 1.130 5.741 0.583
F 3.542 2.045 1.325
F 3.542 2.045 4.959
F 4.672 0.394 3.052
F 2.677 3.849 6.686
F 5.537 1.892 6.686
F 4.407 3.849 3.052
```


Theoretical PXRD pattern of Ca2Ga9Pt3 for λ = 1.5418 Å (Cu Kα), from a crystal structure in Alexandria, relaxed with GGA-PBE.
Neutral-atom scattering factors, no anomalous dispersion.

Top 6 peaks for 2θ = 5–70°, low angle first:
2θ = 18.52°, intensity 56
2θ = 23.11°, intensity 63
2θ = 29.78°, intensity 63
2θ = 36.56°, intensity 55
2θ = 40.60°, intensity 100
2θ = 44.55°, intensity 70

Cell and atoms:
```
28
Lattice="6.675 -3.844 0.000 6.675 3.844 0.000 -4.464 0.000 9.581" Properties=species:S:1:pos:R:3 pbc="T T T"
Ca 1.120 0.642 2.396
Ca -1.111 -0.642 7.187
Ca 9.997 0.642 2.394
Ca 7.765 -0.642 7.185
Ga 5.556 3.227 0.775
Ga 5.561 3.227 4.015
Ga 1.084 0.654 5.567
Ga 4.183 1.415 2.404
Ga 1.078 0.656 8.905
Ga 3.316 -0.654 0.776
Ga 3.327 0.948 7.186
Ga 6.935 1.415 2.387
Ga 3.310 -0.656 4.114
Ga 5.575 0.656 5.467
Ga 1.951 -1.415 7.195
Ga 5.559 -0.948 2.395
Ga 5.570 0.654 8.805
Ga 7.807 -0.656 0.676
Ga 4.703 -1.415 7.177
Ga 7.802 -0.654 4.014
Ga 3.324 -3.227 5.566
Ga 3.329 -3.227 8.806
Pt 3.337 1.922 0.000
Pt 3.323 1.946 4.789
Pt 7.795 1.946 0.002
Pt 1.105 -1.922 4.791
Pt 1.091 -1.946 9.579
Pt 5.563 -1.946 4.793
```